Starting from a crystal structure in Alexandria, relaxed with GGA+U, the XRD peak list of Li3V4O3F9 was computed for CuKα.
Lines closer than 0.1° are merged.

Atomic structure:
```
Li3V4O3F9
1.0
5.124 0.000 0.000
-0.216 5.500 0.000
-0.166 -0.672 7.673
Li V O F
3 4 3 9
Cartesian
0.000 0.000 0.000 Li
-0.008 0.390 2.954 Li
2.258 3.438 3.132 Li
-0.132 2.978 1.428 V
-0.149 2.757 5.281 V
2.412 -0.117 5.328 V
2.562 0.274 1.460 V
0.837 4.616 1.877 O
1.315 3.815 4.841 O
4.181 1.263 1.176 O
0.325 2.532 7.186 F
0.837 1.019 4.675 F
1.543 1.913 2.115 F
1.646 -0.130 7.226 F
3.255 -0.092 3.416 F
3.385 4.117 0.923 F
3.379 1.595 5.681 F
3.887 4.433 5.930 F
4.202 2.867 3.398 F
```

Main lines, most intense first (10° ≤ 2θ ≤ 90°):
24.28°, I = 100; 23.18°, I = 96; 23.29°, I = 93; 32.41°, I = 58; 52.48°, I = 37; 39.82°, I = 30; 32.69°, I = 28; 61.26°, I = 22; 47.39°, I = 20; 47.61°, I = 20

***

Starting from a crystal structure in Alexandria, relaxed with GGA+U, the XRD peak list of LiV4OF11 was computed for CuKα.
Lines closer than 0.1° are merged.

Atomic structure:
```
LiV4OF11
1.0
5.200 0.000 0.000
2.572 4.898 0.000
2.439 -0.870 17.034
Li V O F
2 8 2 22
Cartesian
1.300 0.085 5.669 Li
8.912 3.943 11.365 Li
1.220 -0.435 8.517 V
1.286 2.449 0.000 V
3.608 1.137 10.544 V
3.895 4.194 2.109 V
6.309 2.966 12.790 V
3.903 1.062 4.244 V
6.316 -0.166 14.926 V
6.604 2.891 6.490 V
2.128 0.172 10.127 O
8.084 3.856 6.908 O
1.888 1.111 7.345 F
0.732 0.889 1.103 F
4.644 4.049 13.287 F
2.286 3.207 1.539 F
2.253 2.006 4.829 F
5.213 2.328 11.325 F
5.332 0.551 16.479 F
5.425 3.395 7.932 F
2.919 0.305 2.702 F
4.466 2.610 3.158 F
5.789 4.432 5.293 F
4.422 -0.404 11.741 F
5.746 1.418 13.876 F
7.293 3.723 14.333 F
4.787 0.633 9.103 F
4.880 3.477 0.556 F
4.999 1.700 5.710 F
7.959 2.022 12.205 F
7.925 0.821 15.495 F
5.568 -0.021 3.748 F
9.480 3.139 15.932 F
8.324 2.917 9.690 F
```

Main lines, most intense first (10° ≤ 2θ ≤ 90°):
23.44°, I = 100; 23.76°, I = 49; 52.54°, I = 15; 39.58°, I = 14; 53.12°, I = 13; 39.86°, I = 12; 32.32°, I = 11; 47.83°, I = 10; 32.79°, I = 10; 48.04°, I = 10

***

Starting from a crystal structure in Alexandria, relaxed with GGA+U, the XRD peak list of LiV3O5F was computed for CuKα.
Lines closer than 0.1° are merged.

Atomic structure:
```
LiV3O5F
1.0
5.095 0.000 0.000
-2.442 4.946 0.000
-0.048 -3.040 8.445
Li V O F
2 6 10 2
Cartesian
0.000 0.000 0.000 Li
-0.020 3.405 4.190 Li
0.140 -0.229 2.892 V
0.163 0.441 6.312 V
0.216 2.757 0.887 V
2.665 -1.709 7.064 V
2.771 1.946 2.061 V
2.639 1.324 5.140 V
-0.890 3.253 2.447 O
-0.735 2.170 5.697 O
0.982 1.112 1.814 O
0.963 -0.891 7.589 O
1.043 0.127 4.638 O
1.601 1.825 6.750 O
1.882 3.621 1.467 O
3.378 -0.391 6.101 O
3.430 0.777 3.330 O
3.588 1.605 0.407 O
-0.618 1.275 8.139 F
1.926 2.916 3.962 F
```

Main lines, most intense first (10° ≤ 2θ ≤ 90°):
21.05°, I = 100; 32.03°, I = 84; 33.13°, I = 78; 23.83°, I = 78; 32.68°, I = 78; 19.07°, I = 70; 23.16°, I = 66; 24.16°, I = 64; 34.72°, I = 61; 39.64°, I = 58

***

Starting from a crystal structure in Alexandria, relaxed with GGA+U, the XRD peak list of Li2VO2F was computed for CuKα.
Lines closer than 0.1° are merged.

Atomic structure:
```
Li2VO2F
1.0
7.869 -1.509 0.000
7.869 1.509 0.000
-3.648 0.000 9.716
Li V O F
8 4 8 4
Cartesian
0.000 0.000 0.000 Li
-1.513 0.000 5.045 Li
-0.921 0.000 8.781 Li
0.951 0.000 4.058 Li
6.980 0.000 2.428 Li
5.387 0.000 7.331 Li
7.672 0.000 6.706 Li
9.769 0.000 1.573 Li
2.080 0.000 8.163 V
3.974 0.000 3.237 V
10.768 0.000 5.782 V
12.737 0.000 0.857 V
-1.372 0.000 6.912 O
1.668 0.000 6.107 O
3.505 0.000 1.297 O
6.226 0.000 0.449 O
8.641 0.000 8.610 O
10.558 0.000 3.762 O
11.266 0.000 7.701 O
13.189 0.000 2.881 O
0.523 0.000 2.067 F
4.381 0.000 5.334 F
5.552 0.000 9.425 F
7.501 0.000 4.353 F
```

Main lines, most intense first (10° ≤ 2θ ≤ 90°):
12.01°, I = 100; 42.21°, I = 48; 24.16°, I = 30; 43.12°, I = 22; 34.38°, I = 15; 61.84°, I = 12; 62.03°, I = 11; 36.40°, I = 10; 34.58°, I = 8; 61.45°, I = 7

***

Starting from a crystal structure in Alexandria, relaxed with GGA+U, the XRD peak list of Li7V4O11F was computed for CuKα.
Lines closer than 0.1° are merged.

Atomic structure:
```
Li7V4O11F
1.0
5.014 0.000 0.000
2.491 4.525 0.000
2.084 0.041 9.643
Li V O F
7 4 11 1
Cartesian
0.000 0.000 0.000 Li
2.756 1.584 7.210 Li
3.437 3.043 4.894 Li
2.375 1.689 0.035 Li
3.491 0.025 4.741 Li
7.078 3.006 9.550 Li
6.049 1.742 4.759 Li
1.563 0.053 2.480 V
5.258 3.074 7.219 V
4.238 1.749 2.426 V
5.270 0.159 7.218 V
3.729 3.211 8.351 O
4.281 4.513 6.143 O
2.727 1.389 3.452 O
3.563 3.153 1.288 O
6.230 4.514 8.297 O
4.499 1.618 6.141 O
4.906 3.133 3.515 O
6.025 1.620 8.301 O
6.790 3.207 6.091 O
5.215 0.291 3.578 O
5.696 1.391 1.264 O
3.238 0.265 1.168 F
```

Main lines, most intense first (10° ≤ 2θ ≤ 90°):
18.40°, I = 100; 42.55°, I = 90; 20.62°, I = 46; 44.90°, I = 37; 35.14°, I = 26; 21.69°, I = 24; 25.03°, I = 23; 63.59°, I = 22; 20.96°, I = 15; 63.27°, I = 13

***

Starting from a crystal structure in Alexandria, relaxed with GGA+U, the XRD peak list of Li2VO2F was computed for CuKα.
Lines closer than 0.1° are merged.

Atomic structure:
```
Li2VO2F
1.0
7.631 -1.495 0.000
7.631 1.495 0.000
-1.625 0.000 4.845
Li V O F
4 2 4 2
Cartesian
0.908 0.000 1.196 Li
2.641 -0.027 3.754 Li
10.995 -0.027 1.091 Li
12.728 0.000 3.649 Li
6.028 0.017 1.102 V
7.608 0.017 3.742 V
0.845 -0.047 4.755 O
7.631 -0.008 0.000 O
12.791 -0.047 0.090 O
6.818 -1.412 2.422 O
4.299 -0.015 2.370 F
9.337 -0.015 2.475 F
```

Main lines, most intense first (10° ≤ 2θ ≤ 90°):
42.86°, I = 100; 12.23°, I = 60; 18.52°, I = 49; 43.74°, I = 44; 25.17°, I = 40; 30.52°, I = 37; 25.62°, I = 31; 63.02°, I = 25; 62.79°, I = 25; 79.02°, I = 16

***

Starting from a crystal structure in Alexandria, relaxed with GGA+U, the XRD peak list of Li3V4O11F was computed for CuKα.
Lines closer than 0.1° are merged.

Atomic structure:
```
Li3V4O11F
1.0
5.119 0.000 0.000
-1.077 5.016 0.000
-0.198 -1.071 8.326
Li V O F
3 4 11 1
Cartesian
0.000 0.000 0.000 Li
-0.078 4.444 3.512 Li
2.836 1.398 7.830 Li
0.344 1.139 6.276 V
1.275 3.921 6.713 V
2.227 3.692 2.012 V
4.197 1.406 2.828 V
0.028 0.290 1.958 O
-0.218 1.217 4.547 O
-0.506 2.344 7.141 O
0.845 2.864 2.480 O
1.210 0.099 7.654 O
1.580 -0.582 5.315 O
1.805 2.190 6.155 O
2.011 4.224 0.375 O
2.847 0.273 3.003 O
3.448 2.362 1.437 O
3.836 -0.196 6.779 O
3.417 3.229 3.649 F
```

Main lines, most intense first (10° ≤ 2θ ≤ 90°):
21.34°, I = 100; 20.26°, I = 84; 39.43°, I = 42; 30.09°, I = 41; 27.88°, I = 39; 22.35°, I = 39; 44.22°, I = 33; 48.06°, I = 32; 21.95°, I = 16; 21.18°, I = 16

***

Starting from a crystal structure in Alexandria, relaxed with GGA+U, the XRD peak list of Li5VO4F was computed for CuKα.
Lines closer than 0.1° are merged.

Atomic structure:
```
Li5VO4F
1.0
2.895 -4.492 0.000
2.895 4.492 0.000
-1.825 0.000 8.773
Li V O F
10 2 8 2
Cartesian
1.983 3.438 4.386 Li
0.914 1.074 5.346 Li
2.359 2.978 7.009 Li
1.375 1.399 8.686 Li
1.826 -1.074 0.959 Li
3.499 1.470 5.408 Li
2.287 -1.399 4.300 Li
2.895 -3.438 0.000 Li
4.411 -1.470 1.022 Li
3.272 -2.978 2.622 Li
3.118 0.816 2.496 V
2.206 -0.816 6.882 V
1.749 0.984 1.218 O
2.237 1.450 3.930 O
0.837 -0.984 5.604 O
2.464 1.000 7.085 O
4.469 1.440 1.461 O
1.325 -1.450 8.317 O
3.377 -1.000 2.699 O
3.557 -1.440 5.847 O
1.225 3.444 8.631 F
2.138 -3.444 4.244 F
```

Main lines, most intense first (10° ≤ 2θ ≤ 90°):
22.23°, I = 100; 18.51°, I = 97; 25.05°, I = 82; 41.30°, I = 45; 40.15°, I = 36; 29.89°, I = 31; 46.94°, I = 31; 56.46°, I = 22; 34.44°, I = 16; 48.53°, I = 15

***

Starting from a crystal structure in Alexandria, relaxed with GGA+U, the XRD peak list of Li3V4O11F was computed for CuKα.
Lines closer than 0.1° are merged.

Atomic structure:
```
Li3V4O11F
1.0
4.978 0.000 0.000
-2.463 4.345 0.000
-0.900 -1.868 9.839
Li V O F
3 4 11 1
Cartesian
0.000 0.000 0.000 Li
-0.013 0.003 3.739 Li
1.588 -0.401 9.111 Li
-0.818 1.169 7.203 V
0.007 2.903 1.553 V
2.488 1.439 2.178 V
1.531 2.737 6.654 V
-1.566 2.711 0.742 O
-0.894 1.594 2.885 O
-0.336 -0.301 5.763 O
-1.848 2.394 7.936 O
0.949 1.621 0.746 O
1.812 -0.015 2.894 O
0.019 2.310 5.890 O
0.640 1.242 8.083 O
3.104 0.019 0.747 O
1.572 2.757 2.892 O
3.413 -0.399 7.928 O
2.476 1.275 5.852 F
```

Main lines, most intense first (10° ≤ 2θ ≤ 90°):
18.03°, I = 100; 21.23°, I = 25; 22.40°, I = 23; 41.13°, I = 22; 42.71°, I = 19; 42.28°, I = 19; 20.81°, I = 17; 31.44°, I = 16; 36.23°, I = 15; 34.09°, I = 11

***

Starting from a crystal structure in Alexandria, relaxed with GGA+U, the XRD peak list of LiVOF3 was computed for CuKα.
Lines closer than 0.1° are merged.

Atomic structure:
```
LiVOF3
1.0
7.310 0.000 0.000
1.279 7.202 0.000
3.309 2.773 10.153
Li V O F
8 8 8 24
Cartesian
0.000 0.000 0.000 Li
8.962 1.389 5.077 Li
3.664 6.020 2.530 Li
5.322 7.418 7.617 Li
5.930 4.986 5.082 Li
4.295 3.594 0.006 Li
8.327 3.825 7.631 Li
6.675 2.427 2.542 Li
2.996 2.277 2.447 V
4.656 3.671 7.522 V
6.811 2.771 10.062 V
5.157 1.387 4.984 V
7.290 5.888 2.441 V
8.954 7.283 7.526 V
9.449 4.994 4.993 V
11.112 6.373 10.060 V
3.663 1.644 4.173 O
5.322 3.032 9.246 O
2.992 0.764 1.634 O
4.652 2.157 6.708 O
9.621 6.636 9.240 O
7.972 5.251 4.173 O
7.289 4.374 1.632 O
8.957 5.767 6.690 O
1.717 6.448 1.856 F
3.376 7.838 6.925 F
2.993 6.587 4.400 F
4.658 7.982 9.467 F
3.012 4.185 3.393 F
4.679 5.569 8.449 F
2.360 3.289 0.839 F
4.019 4.677 5.909 F
4.376 5.505 0.708 F
6.034 6.895 5.787 F
5.556 5.776 3.249 F
7.219 7.159 8.321 F
4.727 2.849 1.860 F
6.393 4.233 6.930 F
6.014 2.996 4.392 F
7.670 4.381 9.472 F
7.313 7.781 3.372 F
8.969 9.168 8.443 F
6.657 6.888 0.831 F
8.316 8.280 5.910 F
7.389 1.910 0.710 F
9.051 3.309 5.778 F
8.569 2.174 3.253 F
10.225 3.566 8.319 F
```

Main lines, most intense first (10° ≤ 2θ ≤ 90°):
17.19°, I = 100; 27.02°, I = 94; 25.84°, I = 75; 39.88°, I = 36; 40.39°, I = 35; 52.74°, I = 23; 55.71°, I = 23; 53.13°, I = 18; 53.64°, I = 15; 32.66°, I = 15